[1]
For K5Rb2Hg5, the PBE geometry in Alexandria gives the computed powder diffractogram in this record (Cu Kα, 1.54184 Å).
Neutral-atom scattering factors, no anomalous dispersion.

Peak list (12 most intense, 10 to 90 degrees two-theta, by angle)
2theta, Rel. int.
18.3, 37
18.4, 17
21.6, 32
21.8, 18
27.6, 100
28.9, 33
29.1, 18
29.7, 47
30.0, 92
41.0, 24
51.8, 24
52.9, 26

Cell and atoms:
```
data_K5Rb2Hg5
_space_group_name_H-M_alt 'C 1 2/m 1'
_space_group_IT_number 12
_cell_length_a 10.2832
_cell_length_b 6.0222
_cell_length_c 18.2765
_cell_angle_alpha 90.00
_cell_angle_beta 101.13
_cell_angle_gamma 90.00
loop_
_space_group_symop_operation_xyz
'x,y,z'
'-x,-y,-z'
'-x,y,-z'
'x,-y,z'
'x+1/2,y+1/2,z'
'-x+1/2,-y+1/2,-z'
'-x+1/2,y+1/2,-z'
'x+1/2,-y+1/2,z'
loop_
_atom_site_label
_atom_site_fract_x
_atom_site_fract_y
_atom_site_fract_z
K1 0.0000 0.0000 0.0000
K2 0.1891 0.0000 0.5700
K3 0.2183 0.5000 0.1404
Rb1 0.0717 0.5000 0.7200
Hg1 0.0000 0.5000 0.5000
Hg2 0.1266 0.0000 0.3728
Hg3 0.1418 0.5000 0.9410
```

---

[2]
For TlNiBiPb2, the PBE geometry in Alexandria gives the computed powder diffractogram in this record (Cu Kα, 1.54184 Å).
Neutral-atom scattering factors, no anomalous dispersion.

Peak list (12 most intense, 10 to 90 degrees two-theta, by angle)
2theta, Rel. int.
29.7, 100
34.1, 49
35.2, 22
49.0, 18
49.8, 34
58.3, 31
59.8, 15
61.7, 18
80.8, 13
81.9, 8
82.5, 8
84.3, 8

Cell and atoms:
```
data_TlNiBiPb2
_space_group_name_H-M_alt 'P 4/m m m'
_space_group_IT_number 123
_space_group_name_Hall '-P 4 2'
_cell_length_a 5.2623
_cell_length_b 5.2623
_cell_length_c 5.1054
_cell_angle_alpha 90.00
_cell_angle_beta 90.00
_cell_angle_gamma 90.00
loop_
_atom_site_label
_atom_site_fract_x
_atom_site_fract_y
_atom_site_fract_z
Tl1 0.0000 0.0000 0.0000
Ni1 0.0000 0.0000 0.5000
Bi1 0.5000 0.5000 0.0000
Pb1 0.0000 0.5000 0.5000
```

---

[3]
For Er3Pt2Au, the PBE geometry in Alexandria gives the computed powder diffractogram in this record (Cu Kα, 1.54184 Å).
Neutral-atom scattering factors, no anomalous dispersion.

Peak list (12 most intense, 10 to 90 degrees two-theta, by angle)
2theta, Rel. int.
36.3, 100
36.5, 20
52.2, 7
52.3, 14
65.2, 22
65.4, 7
65.6, 14
76.8, 2
77.1, 9
88.2, 10
88.4, 7
88.7, 3

Cell and atoms:
```
data_Er3Pt2Au
_space_group_name_H-M_alt 'C m m m'
_space_group_IT_number 65
_space_group_name_Hall '-C 2 2'
_cell_length_a 4.9618
_cell_length_b 14.7753
_cell_length_c 3.5041
_cell_angle_alpha 90.00
_cell_angle_beta 90.00
_cell_angle_gamma 90.00
loop_
_atom_site_label
_atom_site_fract_x
_atom_site_fract_y
_atom_site_fract_z
Er1 0.0000 0.0000 0.0000
Er2 0.0000 0.3290 0.0000
Pt1 0.0000 0.1654 0.5000
Au1 0.0000 0.5000 0.5000
```

---

Please write out number 2 again, unchanged.
For TlNiBiPb2, the PBE geometry in Alexandria gives the computed powder diffractogram in this record (Cu Kα, 1.54184 Å).
Neutral-atom scattering factors, no anomalous dispersion.

Peak list (12 most intense, 10 to 90 degrees two-theta, by angle)
2theta, Rel. int.
29.7, 100
34.1, 49
35.2, 22
49.0, 18
49.8, 34
58.3, 31
59.8, 15
61.7, 18
80.8, 13
81.9, 8
82.5, 8
84.3, 8

Cell and atoms:
```
data_TlNiBiPb2
_space_group_name_H-M_alt 'P 4/m m m'
_space_group_IT_number 123
_space_group_name_Hall '-P 4 2'
_cell_length_a 5.2623
_cell_length_b 5.2623
_cell_length_c 5.1054
_cell_angle_alpha 90.00
_cell_angle_beta 90.00
_cell_angle_gamma 90.00
loop_
_atom_site_label
_atom_site_fract_x
_atom_site_fract_y
_atom_site_fract_z
Tl1 0.0000 0.0000 0.0000
Ni1 0.0000 0.0000 0.5000
Bi1 0.5000 0.5000 0.0000
Pb1 0.0000 0.5000 0.5000
```

---

Q: Which formula does entry 1 have?
A: K5Rb2Hg5